# Nd3S2Cl5
Simulated powder XRD pattern, copper Kα. Input: the GGA-PBE geometry in Alexandria.

```
40
Lattice="22.1632 0.0000 0.0000 0.0000 6.6463 0.0000 -0.9609 0.0000 7.0106" Properties=species:S:1:pos:R:3 pbc="T T T"
Nd 1.9372 0.3028 1.4316
Nd 1.4567 3.0204 4.9369
Nd 4.7035 0.2974 5.9963
Nd 5.1839 3.0258 2.4909
Nd 8.5550 0.2897 2.3559
Nd 8.0745 3.0335 5.8612
Nd 13.1277 3.6128 1.1494
Nd 12.6473 6.3567 4.6547
Nd 16.0183 3.6205 4.5197
Nd 16.4988 6.3490 1.0144
Nd 19.7455 3.6260 2.0737
Nd 19.2650 6.3435 5.5790
S 3.2213 1.2781 3.7277
S 3.7017 2.0451 0.2224
S 6.6615 1.2756 4.1809
S 7.1419 2.0476 0.6755
S 14.0603 4.5987 6.3351
S 14.5408 5.3708 2.8298
S 17.5005 4.6012 6.7882
S 17.9809 5.3683 3.2829
Cl -0.5643 1.4878 6.2590
Cl -0.0838 1.8354 2.7537
Cl 2.4390 4.4733 2.6824
Cl 1.9585 5.4962 6.1878
Cl 4.9755 4.2617 5.0626
Cl 5.4560 5.7078 1.5573
Cl 8.0029 4.3501 3.3566
Cl 7.5224 5.6194 6.8619
Cl 10.0213 1.1824 4.6162
Cl 10.5018 2.1408 1.1109
Cl 10.7004 4.5056 5.8998
Cl 11.1809 5.4639 2.3944
Cl 13.6798 1.0269 0.1487
Cl 13.1994 2.2963 3.6540
Cl 15.7462 0.9386 5.4534
Cl 16.2267 2.3846 1.9481
Cl 19.2437 1.1501 0.8229
Cl 18.7632 2.1731 4.3282
Cl 21.2861 4.8109 4.2570
Cl 21.7665 5.1586 0.7516
```

Most intense lines, 10° ≤ 2θ ≤ 80°, in order of rising 2θ:
d = 4.809 Å, I = 34, hkl 1 1 -1; d = 4.212 Å, I = 100, hkl 3 1 -1; d = 3.865 Å, I = 96, hkl 3 1 1; d = 3.660 Å, I = 38, hkl 6 0 0; d = 2.701 Å, I = 33, hkl 4 2 -1; d = 2.460 Å, I = 47, hkl 6 2 0